1.
Li3Fe2F7: simulated X-ray powder pattern (Cu Kα (λ = 1.5418 Å)), based on the PBE+U geometry in the Materials Project.
Kinematic intensities with the Lorentz-polarization factor, no thermal factor.

Cell lengths 7.683, 10.512, 9.600 Å; angles 90.00, 125.55, 90.00 degrees
Fractional positions:
Li 0.112 0.087 0.300
Li 0.112 0.413 0.800
Li 0.262 0.587 0.221
Li 0.262 0.913 0.721
Li 0.360 0.706 0.972
Li 0.360 0.794 0.472
Li 0.640 0.206 0.528
Li 0.640 0.294 0.028
Li 0.738 0.087 0.279
Li 0.738 0.413 0.779
Li 0.888 0.587 0.200
Li 0.888 0.913 0.700
Fe 0.239 0.585 0.611
Fe 0.239 0.915 0.111
Fe 0.286 0.220 0.624
Fe 0.286 0.280 0.124
Fe 0.714 0.720 0.876
Fe 0.714 0.780 0.376
Fe 0.761 0.085 0.889
Fe 0.761 0.415 0.389
F 0.020 0.124 0.447
F 0.020 0.376 0.947
F 0.124 0.111 0.084
F 0.124 0.389 0.584
F 0.198 0.586 0.798
F 0.198 0.914 0.298
F 0.222 0.623 0.398
F 0.222 0.877 0.898
F 0.349 0.203 0.439
F 0.349 0.297 0.939
F 0.395 0.724 0.189
F 0.395 0.776 0.689
F 0.431 0.051 0.749
F 0.431 0.449 0.249
F 0.569 0.551 0.751
F 0.569 0.949 0.251
F 0.605 0.224 0.311
F 0.605 0.276 0.811
F 0.651 0.703 0.061
F 0.651 0.797 0.561
F 0.778 0.123 0.102
F 0.778 0.377 0.602
F 0.802 0.086 0.702
F 0.802 0.414 0.202
F 0.876 0.611 0.416
F 0.876 0.889 0.916
F 0.980 0.624 0.053
F 0.980 0.876 0.553

Largest 10 diffraction maxima, low angle first, 10 to 90 degrees two-theta:
d_spacing  I/Imax
6.268  18
6.062  24
4.793  100
4.289  60
3.127  40
3.056  59
2.397  39
2.388  19
2.030  16
1.791  22



2.
K8Li9Mn4O16: simulated X-ray powder pattern (Cu Kα (λ = 1.5418 Å)), based on the PBE+U geometry in the Materials Project.
Kinematic intensities with the Lorentz-polarization factor, no thermal factor.

Cell lengths 5.620, 8.754, 10.674 Å; angles 88.99, 78.57, 89.63 degrees
Fractional positions:
K 0.000 0.000 0.000
K 0.015 0.269 0.546
K 0.264 0.705 0.749
K 0.289 0.988 0.301
K 0.478 0.498 0.494
K 0.518 0.209 0.050
K 0.740 0.772 0.251
K 0.806 0.460 0.794
Li 0.038 0.542 0.352
Li 0.242 0.447 0.945
Li 0.333 0.977 0.578
Li 0.442 0.479 0.218
Li 0.525 0.945 0.849
Li 0.721 0.721 0.946
Li 0.740 0.039 0.448
Li 0.833 0.499 0.077
Li 0.935 0.999 0.724
Mn 0.288 0.696 0.084
Mn 0.435 0.197 0.723
Mn 0.830 0.782 0.580
Mn 0.943 0.284 0.227
O 0.004 0.963 0.537
O 0.008 0.298 0.053
O 0.036 0.660 0.989
O 0.194 0.331 0.300
O 0.263 0.014 0.763
O 0.282 0.680 0.258
O 0.334 0.393 0.754
O 0.466 0.882 0.030
O 0.501 0.185 0.551
O 0.513 0.521 0.025
O 0.583 0.835 0.503
O 0.688 0.148 0.796
O 0.769 0.788 0.758
O 0.771 0.466 0.266
O 0.838 0.087 0.256
O 0.933 0.588 0.549

Largest 10 diffraction maxima, low angle first, 10 to 90 degrees two-theta:
d_spacing  I/Imax
5.230  32
4.016  100
3.329  24
2.713  34
2.665  66
2.630  71
2.615  71
2.587  33
2.579  61
1.626  24



3.
Mn2NbFe3P6O24: simulated X-ray powder pattern (Cu Kα (λ = 1.5418 Å)), based on the PBE+U geometry in the Materials Project.
Kinematic intensities with the Lorentz-polarization factor, no thermal factor.

Cell lengths 8.706, 8.706, 8.706 Å; angles 59.96, 59.96, 59.96 degrees
Fractional positions:
Mn 0.000 0.000 0.000
Mn 0.496 0.496 0.496
Nb 0.851 0.851 0.851
Fe 0.142 0.142 0.142
Fe 0.350 0.350 0.350
Fe 0.640 0.640 0.640
P 0.040 0.446 0.742
P 0.251 0.953 0.534
P 0.446 0.742 0.040
P 0.534 0.251 0.953
P 0.742 0.040 0.446
P 0.953 0.534 0.251
O 0.056 0.259 0.909
O 0.084 0.932 0.732
O 0.111 0.503 0.304
O 0.182 0.992 0.383
O 0.232 0.440 0.583
O 0.259 0.909 0.056
O 0.304 0.111 0.503
O 0.383 0.182 0.992
O 0.408 0.758 0.555
O 0.440 0.583 0.232
O 0.491 0.683 0.882
O 0.503 0.304 0.111
O 0.555 0.408 0.758
O 0.583 0.232 0.440
O 0.611 0.808 0.989
O 0.683 0.882 0.491
O 0.732 0.084 0.932
O 0.758 0.555 0.408
O 0.808 0.989 0.611
O 0.882 0.491 0.683
O 0.909 0.056 0.259
O 0.932 0.732 0.084
O 0.989 0.611 0.808
O 0.992 0.383 0.182

Largest 10 diffraction maxima, low angle first, 10 to 90 degrees two-theta:
d_spacing  I/Imax
4.351  100
3.711  83
2.823  14
2.753  71
2.512  42
1.946  26
1.855  28
1.644  38
1.493  26
1.450  13



4.
V3As2O9: simulated X-ray powder pattern (Cu Kα (λ = 1.5418 Å)), based on the PBE+U geometry in the Materials Project.
Kinematic intensities with the Lorentz-polarization factor, no thermal factor.

Cell lengths 5.504, 5.504, 6.538 Å; angles 102.26, 102.26, 72.08 degrees
Fractional positions:
V 0.000 0.000 0.000
V 0.169 0.169 0.591
V 0.571 0.571 0.761
As 0.411 0.411 0.100
As 0.774 0.774 0.473
O 0.087 0.087 0.268
O 0.222 0.222 0.917
O 0.321 0.705 0.972
O 0.391 0.391 0.585
O 0.482 0.864 0.598
O 0.705 0.321 0.972
O 0.807 0.807 0.983
O 0.864 0.482 0.598
O 0.959 0.959 0.664

Largest 10 diffraction maxima, low angle first, 10 to 90 degrees two-theta:
d_spacing  I/Imax
6.308  20
4.084  21
3.238  100
3.182  69
3.154  34
2.905  30
2.655  45
2.270  21
2.175  33
1.734  21



5.
DyFe3B4O12: simulated X-ray powder pattern (Cu Kα (λ = 1.5418 Å)), based on the PBE+U geometry in the Materials Project.
Kinematic intensities with the Lorentz-polarization factor, no thermal factor.

Cell lengths 6.124, 6.124, 6.124 Å; angles 103.98, 103.98, 103.98 degrees
Fractional positions:
Dy 0.000 0.000 0.000
Fe 0.000 0.547 0.453
Fe 0.453 0.000 0.547
Fe 0.547 0.453 0.000
B 0.048 0.500 0.952
B 0.500 0.500 0.500
B 0.500 0.952 0.048
B 0.952 0.048 0.500
O 0.025 0.632 0.798
O 0.095 0.905 0.500
O 0.202 0.368 0.975
O 0.357 0.643 0.500
O 0.368 0.975 0.202
O 0.500 0.095 0.905
O 0.500 0.357 0.643
O 0.632 0.798 0.025
O 0.643 0.500 0.357
O 0.798 0.025 0.632
O 0.905 0.500 0.095
O 0.975 0.202 0.368

Largest 10 diffraction maxima, low angle first, 10 to 90 degrees two-theta:
d_spacing  I/Imax
5.634  33
4.825  27
3.665  82
2.918  27
2.817  100
2.413  26
2.015  18
1.981  19
1.750  31
1.735  20



6.
MgCo6O2F10: simulated X-ray powder pattern (Cu Kα (λ = 1.5418 Å)), based on the PBE+U geometry in the Materials Project.
Kinematic intensities with the Lorentz-polarization factor, no thermal factor.

Cell lengths 5.204, 5.207, 9.242 Å; angles 89.90, 89.58, 80.59 degrees
Fractional positions:
Mg 0.000 0.000 0.000
Co 0.004 0.503 0.996
Co 0.033 0.445 0.662
Co 0.075 0.402 0.338
Co 0.511 0.907 0.827
Co 0.517 0.893 0.182
Co 0.588 0.010 0.487
O 0.381 0.140 0.325
O 0.713 0.799 0.999
F 0.178 0.725 0.841
F 0.192 0.719 0.135
F 0.204 0.602 0.504
F 0.306 0.177 0.985
F 0.364 0.164 0.674
F 0.723 0.746 0.657
F 0.761 0.709 0.337
F 0.875 0.271 0.840
F 0.877 0.230 0.508
F 0.891 0.266 0.151

Largest 10 diffraction maxima, low angle first, 10 to 90 degrees two-theta:
d_spacing  I/Imax
3.970  100
3.366  64
2.646  42
2.641  19
2.633  21
2.567  21
1.929  31
1.919  22
1.772  18
1.765  21